Calculated powder X-ray diffraction pattern of KNaTlAu for Cu Ka, from DFT lattice parameters and positions (PBE).
Lines closer than 0.1° are merged.

Main lines, most intense first (2θ from 10° to 90°):
index	2θ/deg	I/Imax
0 0 1	15.19	1000
3 1 0	38.53	641
0 2 0	35.19	634
3 1 1	47.35	382
1 1 -1	22.55	366
2 0 1	32.64	280
1 1 1	28.72	239
1 1 0	20.74	215

```
data_KNaTlAu
_cell_length_a 8.833
_cell_length_b 5.100
_cell_length_c 6.529
_cell_angle_alpha 90.00
_cell_angle_beta 116.69
_cell_angle_gamma 90.00
_space_group_name_H-M_alt 'C 1 m 1'
_space_group_IT_number 8
_space_group_name_Hall 'C -2y'
loop_
_atom_site_label
_atom_site_type_symbol
_atom_site_fract_x
_atom_site_fract_y
_atom_site_fract_z
K1 K 0.000 0.000 0.000
Na1 Na 0.299 0.500 0.395
Tl1 Tl 0.040 0.500 0.620
Au1 Au 0.200 0.000 0.600
```